Entry 1:
The following is a calculated PXRD pattern of SiS4. It was derived from a structure optimized by DFT (GGA-PBE), using Cu Ka.

Structural model:
```
10
Lattice="6.914 0.000 0.000 0.000 4.843 0.000 -0.203 0.000 7.502" Properties=species:S:1:pos:R:3 pbc="T T T"
Si 0.545 1.211 2.500
Si 6.166 3.632 5.002
S 1.345 2.498 0.979
S 1.345 4.767 0.979
S 1.374 3.632 4.738
S 1.563 1.211 4.381
S 5.148 3.632 3.121
S 5.338 1.211 2.764
S 5.366 0.076 6.523
S 5.366 2.345 6.523
```

Principal peaks in the range 2θ from 5° to 70°, by angle:
12.81 deg, I 100; 25.78 deg, I 64; 26.73 deg, I 51; 27.36 deg, I 78; 39.09 deg, I 53; 41.19 deg, I 32



Entry 2:
The following is a calculated PXRD pattern of SiS2. It was derived from a structure optimized by DFT (GGA-PBE), using Cu Ka.

Structural model:
```
6
Lattice="-3.071 5.408 2.792 3.071 -5.408 2.792 3.071 5.408 -2.792" Properties=species:S:1:pos:R:3 pbc="T T T"
Si 0.000 0.000 1.396
Si 0.000 0.000 4.188
S 1.154 1.152 0.000
S 1.154 -1.152 2.792
S 1.917 6.559 0.000
S 1.917 4.256 2.792
```

Principal peaks in the range 2θ from 5° to 70°, by angle:
16.39 deg, I 42; 16.60 deg, I 100; 27.16 deg, I 83; 43.82 deg, I 16; 46.77 deg, I 17; 56.37 deg, I 14



Entry 3:
The following is a calculated PXRD pattern of Sm3SiS6. It was derived from a structure optimized by DFT (GGA-PBE), using Cu Ka.

Structural model:
```
20
Lattice="5.430 -6.713 0.000 5.430 6.713 0.000 0.000 0.000 6.575" Properties=species:S:1:pos:R:3 pbc="T T T"
Sm 5.430 5.440 3.287
Sm 3.467 1.281 2.683
Sm 3.467 -1.281 5.970
Sm 7.393 1.281 2.683
Sm 7.393 -1.281 5.970
Sm 5.430 -5.440 0.000
Si 5.430 2.693 5.644
Si 5.430 -2.693 2.357
S 3.703 3.523 4.637
S 1.755 0.434 4.622
S 1.755 -0.434 1.335
S 5.430 2.834 1.219
S 7.157 3.523 4.637
S 5.430 0.625 4.896
S 5.430 -0.625 1.608
S 3.703 -3.523 1.349
S 5.430 -2.834 4.506
S 9.105 0.434 4.622
S 9.105 -0.434 1.335
S 7.157 -3.523 1.349
```

Principal peaks in the range 2θ from 5° to 70°, by angle:
25.07 deg, I 100; 25.45 deg, I 91; 34.66 deg, I 36; 37.56 deg, I 53; 38.31 deg, I 38; 41.89 deg, I 42



Entry 4:
The following is a calculated PXRD pattern of Sm8Si3Te3S. It was derived from a structure optimized by DFT (GGA-PBE), using Cu Ka.

Structural model:
```
15
Lattice="4.242 2.449 7.155 -4.242 2.449 7.155 0.000 -4.898 7.155" Properties=species:S:1:pos:R:3 pbc="T T T"
Sm -2.135 -1.233 12.307
Sm 0.000 0.000 5.170
Sm 0.000 -2.465 9.159
Sm -2.135 1.233 9.159
Sm 2.135 -1.233 12.307
Sm 0.000 2.465 12.307
Sm 0.000 0.000 16.295
Sm 2.135 1.233 9.159
Si -4.242 0.000 10.733
Si -2.121 1.225 3.578
Si 2.121 1.225 3.578
Te -2.121 -1.225 7.155
Te -2.121 1.225 14.310
Te 0.000 2.449 7.155
S 0.000 0.000 10.733
```

Principal peaks in the range 2θ from 5° to 70°, by angle:
25.63 deg, I 25; 29.47 deg, I 100; 41.68 deg, I 34; 42.63 deg, I 38; 52.67 deg, I 20; 69.99 deg, I 17



Entry 5:
The following is a calculated PXRD pattern of SrSi2S4. It was derived from a structure optimized by DFT (GGA-PBE), using Cu Ka.

Structural model:
```
7
Lattice="-3.803 3.803 2.967 3.803 -3.803 2.967 3.803 3.803 -2.967" Properties=species:S:1:pos:R:3 pbc="T T T"
Sr 0.000 0.000 0.000
Si 3.803 0.000 1.483
Si 0.000 3.803 1.483
S 2.700 1.342 0.000
S 2.462 -1.103 2.967
S 1.342 4.906 0.000
S 1.103 2.462 2.967
```

Principal peaks in the range 2θ from 5° to 70°, by angle:
18.97 deg, I 43; 30.29 deg, I 100; 33.32 deg, I 25; 34.53 deg, I 20; 48.74 deg, I 54; 63.07 deg, I 18



Entry 6:
The following is a calculated PXRD pattern of SrTl2SiS4. It was derived from a structure optimized by DFT (GGA-PBE), using Cu Ka.

Structural model:
```
16
Lattice="-3.808 4.381 5.970 3.808 -4.381 5.970 3.808 4.381 -5.970" Properties=species:S:1:pos:R:3 pbc="T T T"
Sr 0.000 0.000 0.000
Sr 0.000 4.381 0.000
Tl 3.808 0.000 0.000
Tl -1.904 2.191 2.985
Tl 0.000 0.000 5.970
Tl 1.904 2.191 2.985
Si 1.904 2.191 -2.985
Si 1.904 -2.191 2.985
S 3.808 3.836 -3.012
S 1.851 2.191 -0.717
S 1.956 -2.191 5.253
S 3.808 -0.545 3.012
S 0.000 4.926 2.958
S 1.851 6.572 0.717
S 1.956 2.191 6.687
S 0.000 0.545 8.982
```

Principal peaks in the range 2θ from 5° to 70°, by angle:
25.22 deg, I 79; 27.79 deg, I 53; 29.93 deg, I 48; 31.12 deg, I 100; 43.72 deg, I 66; 51.80 deg, I 31



Entry 7:
The following is a calculated PXRD pattern of SrTl2Si2S6. It was derived from a structure optimized by DFT (GGA-PBE), using Cu Ka.

Structural model:
```
11
Lattice="3.542 2.045 7.974 -3.542 2.045 7.974 0.000 -4.090 7.974" Properties=species:S:1:pos:R:3 pbc="T T T"
Sr 0.000 0.000 0.000
Tl 0.000 0.000 4.975
Tl 0.000 0.000 18.946
Si 0.000 0.000 10.047
Si 0.000 0.000 13.874
S -1.765 -1.019 13.785
S 0.000 -2.037 10.136
S -1.765 1.019 10.136
S 1.765 -1.019 13.785
S 0.000 2.037 13.785
S 1.765 1.019 10.136
```

Principal peaks in the range 2θ from 5° to 70°, by angle:
11.10 deg, I 36; 23.58 deg, I 100; 25.14 deg, I 75; 30.07 deg, I 38; 34.74 deg, I 46; 43.36 deg, I 40



Entry 8:
The following is a calculated PXRD pattern of Tb7SiS5. It was derived from a structure optimized by DFT (GGA-PBE), using Cu Ka.

Structural model:
```
26
Lattice="6.426 -1.977 0.000 6.426 1.977 0.000 -0.008 0.000 23.249" Properties=species:S:1:pos:R:3 pbc="T T T"
Tb 0.433 0.000 5.814
Tb 1.765 0.000 12.483
Tb 1.760 0.000 22.392
Tb 4.013 0.000 7.479
Tb 4.018 0.000 4.144
Tb 5.228 0.000 20.606
Tb 5.234 0.000 14.267
Tb 7.610 0.000 8.982
Tb 7.616 0.000 2.643
Tb 8.827 0.000 19.105
Tb 8.831 0.000 15.770
Tb 11.084 0.000 0.858
Tb 11.079 0.000 10.766
Tb 12.411 0.000 17.435
Si 3.911 0.000 17.441
Si 8.933 0.000 5.808
S 0.616 0.000 14.940
S 0.610 0.000 19.935
S 2.901 0.000 1.660
S 2.896 0.000 9.965
S 6.426 0.000 0.000
S 6.422 0.000 11.625
S 9.948 0.000 13.285
S 9.943 0.000 21.590
S 12.234 0.000 3.314
S 12.229 0.000 8.309
```

Principal peaks in the range 2θ from 5° to 70°, by angle:
28.16 deg, I 61; 30.29 deg, I 100; 31.74 deg, I 89; 32.92 deg, I 57; 45.86 deg, I 59; 55.98 deg, I 36



Entry 9:
The following is a calculated PXRD pattern of Tb12Si5S28. It was derived from a structure optimized by DFT (GGA-PBE), using Cu Ka.

Structural model:
```
45
Lattice="9.839 0.000 0.000 4.916 10.272 0.000 4.914 3.848 9.541" Properties=species:S:1:pos:R:3 pbc="T T T"
Tb 0.000 0.000 0.000
Tb 4.833 7.100 4.422
Tb 2.938 3.084 1.681
Tb 7.882 9.840 6.670
Tb 5.249 6.154 0.593
Tb 5.396 2.939 5.144
Tb 14.317 13.413 9.041
Tb 9.486 6.450 3.983
Tb 11.903 6.519 7.533
Tb 11.839 9.466 2.877
Tb 9.851 2.329 4.746
Tb 9.986 5.491 0.130
Si 7.440 9.745 2.369
Si 7.356 6.406 7.039
Si 12.326 10.487 6.288
Si 7.394 3.388 1.473
Si 17.250 13.151 7.363
S 7.647 12.263 5.243
S 7.732 8.992 9.463
S 9.298 11.845 8.005
S 4.513 4.691 3.169
S 7.404 8.544 4.102
S 7.383 5.256 8.817
S 7.082 8.588 0.584
S 7.093 5.310 5.224
S 9.242 10.875 2.079
S 9.232 7.396 6.687
S 10.474 10.355 5.206
S 5.586 3.269 0.331
S 12.607 12.584 6.654
S 7.672 5.472 1.870
S 12.324 9.378 8.089
S 7.398 2.131 3.183
S 10.206 7.698 1.685
S 10.551 4.221 6.718
S 11.995 7.200 4.863
S 12.007 3.847 9.530
S 13.872 9.959 4.908
S 8.942 2.852 0.083
S 10.592 4.254 2.876
S 15.640 11.384 7.688
S 13.877 4.572 6.953
S 14.063 8.196 2.030
S 15.618 7.867 7.003
S 10.889 1.031 2.373
```

Principal peaks in the range 2θ from 5° to 70°, by angle:
18.61 deg, I 31; 20.85 deg, I 34; 23.80 deg, I 32; 26.03 deg, I 100; 38.08 deg, I 33; 41.30 deg, I 40